(1)
Structure and computed PXRD pattern of CaH2C2O4 (the PBE geometry in the Materials Project; copper Kα).

Atomic structure:
```
CaH2C2O4
1.0
6.8838 0.0000 0.0000
0.0000 6.8838 0.0000
0.0000 0.0000 9.4994
Ca H C O
4 8 8 16
direct
0.2137 0.2137 0.0000 Ca
0.2863 0.7137 0.7500 Ca
0.7137 0.2863 0.2500 Ca
0.7863 0.7863 0.5000 Ca
0.1299 0.6715 0.1745 H
0.1715 0.3701 0.4245 H
0.3285 0.8701 0.3255 H
0.3701 0.1715 0.5755 H
0.6299 0.8285 0.0755 H
0.6715 0.1299 0.8255 H
0.8285 0.6299 0.9245 H
0.8701 0.3285 0.6745 H
0.1896 0.7037 0.0686 C
0.2037 0.3104 0.3186 C
0.2963 0.8104 0.4314 C
0.3104 0.2037 0.6814 C
0.6896 0.7963 0.1814 C
0.7037 0.1896 0.9314 C
0.7963 0.6896 0.8186 C
0.8104 0.2963 0.5686 C
0.0610 0.2772 0.2365 O
0.1215 0.7811 0.4651 O
0.2189 0.8785 0.0349 O
0.2228 0.5610 0.9865 O
0.2772 0.0610 0.7635 O
0.2811 0.3785 0.7151 O
0.3785 0.2811 0.2849 O
0.4390 0.7772 0.5135 O
0.5610 0.2228 0.0135 O
0.6215 0.7189 0.7849 O
0.7189 0.6215 0.2151 O
0.7228 0.9390 0.2635 O
0.7772 0.4390 0.4865 O
0.7811 0.1215 0.5349 O
0.8785 0.2189 0.9651 O
0.9390 0.7228 0.7365 O
```

Peak list (12 most intense, 5 to 70 degrees two-theta, low angle first)
2θ = 15.90°, rel. 90
2θ = 25.89°, rel. 100
2θ = 27.56°, rel. 32
2θ = 31.09°, rel. 78
2θ = 37.88°, rel. 24
2θ = 40.44°, rel. 31
2θ = 40.88°, rel. 10
2θ = 43.82°, rel. 26
2θ = 45.86°, rel. 17
2θ = 46.46°, rel. 14
2θ = 49.03°, rel. 21
2θ = 51.60°, rel. 12

(2)
Structure and computed PXRD pattern of CaH2C2O4 (the PBE geometry in the Materials Project; copper Kα).

Atomic structure:
```
CaH2C2O4
1.0
6.8717 0.0000 0.0000
0.0000 6.8717 0.0000
0.0000 0.0000 9.6985
Ca H C O
4 8 8 16
direct
0.2168 0.2168 0.0000 Ca
0.2832 0.7168 0.2500 Ca
0.7168 0.2832 0.7500 Ca
0.7832 0.7832 0.5000 Ca
0.1429 0.6703 0.8295 H
0.1703 0.3571 0.5795 H
0.3297 0.8571 0.6705 H
0.3571 0.1703 0.4205 H
0.6429 0.8297 0.9205 H
0.6703 0.1429 0.1705 H
0.8297 0.6429 0.0795 H
0.8571 0.3297 0.3295 H
0.1953 0.7058 0.9346 C
0.2058 0.3047 0.6846 C
0.2942 0.8047 0.5654 C
0.3047 0.2058 0.3154 C
0.6953 0.7942 0.8154 C
0.7058 0.1953 0.0654 C
0.7942 0.6953 0.1846 C
0.8047 0.2942 0.4346 C
0.0649 0.2752 0.7675 O
0.1182 0.7797 0.5338 O
0.2203 0.8818 0.9662 O
0.2248 0.5649 0.0175 O
0.2752 0.0649 0.2325 O
0.2797 0.3818 0.2838 O
0.3818 0.2797 0.7162 O
0.4351 0.7752 0.4825 O
0.5649 0.2248 0.9825 O
0.6182 0.7203 0.2162 O
0.7203 0.6182 0.7838 O
0.7248 0.9351 0.7325 O
0.7752 0.4351 0.5175 O
0.7797 0.1182 0.4662 O
0.8818 0.2203 0.0338 O
0.9351 0.7248 0.2675 O
```

Peak list (12 most intense, 5 to 70 degrees two-theta, low angle first)
2θ = 15.81°, rel. 92
2θ = 25.93°, rel. 100
2θ = 27.54°, rel. 27
2θ = 30.56°, rel. 73
2θ = 37.07°, rel. 28
2θ = 40.47°, rel. 42
2θ = 43.71°, rel. 21
2θ = 45.78°, rel. 33
2θ = 48.72°, rel. 33
2θ = 54.26°, rel. 8
2θ = 56.01°, rel. 9
2θ = 60.24°, rel. 10

(3)
Structure and computed PXRD pattern of Ca7Si6H4CO23 (the PBE geometry in the Materials Project; copper Kα).

Atomic structure:
```
Ca7Si6H4CO23
1.0
5.5559 -7.6718 0.0000
5.5559 7.6718 0.0000
-2.8694 0.0000 6.0469
Ca Si H C O
7 6 4 1 23
direct
0.0000 0.0000 0.0000 Ca
0.0807 0.3730 0.4858 Ca
0.2588 0.7589 0.9742 Ca
0.3730 0.0807 0.4858 Ca
0.6710 0.9409 0.4593 Ca
0.7589 0.2588 0.9742 Ca
0.9409 0.6710 0.4593 Ca
0.1780 0.3861 0.0388 Si
0.3349 0.6881 0.4760 Si
0.3861 0.1780 0.0388 Si
0.6279 0.8378 0.9039 Si
0.6881 0.3349 0.4760 Si
0.8378 0.6279 0.9039 Si
0.3370 0.3370 0.7564 H
0.4256 0.4256 0.6181 H
0.5691 0.5691 0.2948 H
0.6624 0.6624 0.1668 H
0.9972 0.9972 0.4613 C
0.0290 0.2706 0.0802 O
0.0941 0.9474 0.3890 O
0.1471 0.4730 0.8645 O
0.1899 0.6621 0.5708 O
0.2706 0.0290 0.0802 O
0.2807 0.2807 0.9575 O
0.2989 0.5179 0.2872 O
0.3339 0.3339 0.6041 O
0.3777 0.8320 0.3821 O
0.4730 0.1471 0.8645 O
0.4947 0.7030 0.6654 O
0.5179 0.2989 0.2872 O
0.5444 0.8696 0.0819 O
0.6621 0.1899 0.5708 O
0.6617 0.6617 0.3146 O
0.7030 0.4947 0.6654 O
0.7341 0.9873 0.8544 O
0.7515 0.7515 0.9920 O
0.8320 0.3777 0.3821 O
0.8696 0.5444 0.0819 O
0.9400 0.9400 0.5956 O
0.9474 0.0941 0.3890 O
0.9873 0.7341 0.8544 O
```

Peak list (12 most intense, 5 to 70 degrees two-theta, low angle first)
2θ = 19.48°, rel. 31
2θ = 20.98°, rel. 22
2θ = 24.95°, rel. 33
2θ = 27.54°, rel. 43
2θ = 29.30°, rel. 100
2θ = 29.55°, rel. 93
2θ = 29.97°, rel. 33
2θ = 31.96°, rel. 29
2θ = 35.36°, rel. 23
2θ = 35.64°, rel. 28
2θ = 40.07°, rel. 40
2θ = 47.56°, rel. 46

Please write out number 2 again, unchanged.
Structure and computed PXRD pattern of CaH2C2O4 (the PBE geometry in the Materials Project; copper Kα).

Atomic structure:
```
CaH2C2O4
1.0
6.8717 0.0000 0.0000
0.0000 6.8717 0.0000
0.0000 0.0000 9.6985
Ca H C O
4 8 8 16
direct
0.2168 0.2168 0.0000 Ca
0.2832 0.7168 0.2500 Ca
0.7168 0.2832 0.7500 Ca
0.7832 0.7832 0.5000 Ca
0.1429 0.6703 0.8295 H
0.1703 0.3571 0.5795 H
0.3297 0.8571 0.6705 H
0.3571 0.1703 0.4205 H
0.6429 0.8297 0.9205 H
0.6703 0.1429 0.1705 H
0.8297 0.6429 0.0795 H
0.8571 0.3297 0.3295 H
0.1953 0.7058 0.9346 C
0.2058 0.3047 0.6846 C
0.2942 0.8047 0.5654 C
0.3047 0.2058 0.3154 C
0.6953 0.7942 0.8154 C
0.7058 0.1953 0.0654 C
0.7942 0.6953 0.1846 C
0.8047 0.2942 0.4346 C
0.0649 0.2752 0.7675 O
0.1182 0.7797 0.5338 O
0.2203 0.8818 0.9662 O
0.2248 0.5649 0.0175 O
0.2752 0.0649 0.2325 O
0.2797 0.3818 0.2838 O
0.3818 0.2797 0.7162 O
0.4351 0.7752 0.4825 O
0.5649 0.2248 0.9825 O
0.6182 0.7203 0.2162 O
0.7203 0.6182 0.7838 O
0.7248 0.9351 0.7325 O
0.7752 0.4351 0.5175 O
0.7797 0.1182 0.4662 O
0.8818 0.2203 0.0338 O
0.9351 0.7248 0.2675 O
```

Peak list (12 most intense, 5 to 70 degrees two-theta, low angle first)
2θ = 15.81°, rel. 92
2θ = 25.93°, rel. 100
2θ = 27.54°, rel. 27
2θ = 30.56°, rel. 73
2θ = 37.07°, rel. 28
2θ = 40.47°, rel. 42
2θ = 43.71°, rel. 21
2θ = 45.78°, rel. 33
2θ = 48.72°, rel. 33
2θ = 54.26°, rel. 8
2θ = 56.01°, rel. 9
2θ = 60.24°, rel. 10